Record 1
Diffraction record for Sm3BiRu4O14. The powder diffraction line list is computed, not measured: it uses DFT lattice parameters and positions (PBE) and Cu Ka.
Peak positions follow from Bragg's law for the DFT cell and can differ from measured ones.

Most intense lines, 15 to 90 degrees two-theta, in order of rising 2θ:
d [Å]  two_theta  I (rel.)
3.005  29.7  100
2.976  30.0  33
2.596  34.6  45
1.842  49.5  31
1.829  49.9  30
1.570  58.8  15
1.566  59.0  29
1.558  59.3  14
1.502  61.8  10
1.195  80.3  12
1.164  82.9  10
1.157  83.5  10

Cell and atoms:
```
Sm3BiRu4O14
1.0
3.6843 2.1271 5.9514
-3.6843 2.1271 5.9514
0.0000 -4.2542 5.9514
Sm Bi Ru O
3 1 4 14
Direct
0.0000 0.5000 0.5000
0.5000 0.0000 0.5000
0.5000 0.5000 0.0000
0.5000 0.5000 0.5000
0.0000 0.0000 0.0000
0.0000 0.0000 0.5000
0.0000 0.5000 0.0000
0.5000 0.0000 0.0000
0.0813 0.6701 0.6701
0.0822 0.0822 0.6678
0.0822 0.6678 0.0822
0.3299 0.3299 0.9187
0.3299 0.9187 0.3299
0.3322 0.9178 0.9178
0.3729 0.3729 0.3729
0.6271 0.6271 0.6271
0.6678 0.0822 0.0822
0.6701 0.0813 0.6701
0.6701 0.6701 0.0813
0.9178 0.3322 0.9178
0.9178 0.9178 0.3322
0.9187 0.3299 0.3299
```



Record 2
Diffraction record for PmPuZnTc. The powder diffraction line list is computed, not measured: it uses DFT lattice parameters and positions (PBE) and Cu Ka.
Peak positions follow from Bragg's law for the DFT cell and can differ from measured ones.

Most intense lines, 15 to 90 degrees two-theta, in order of rising 2θ:
d [Å]  two_theta  I (rel.)
4.060  21.9  6
3.516  25.3  17
2.486  36.1  100
2.120  42.6  4
2.030  44.6  5
1.758  52.0  18
1.613  57.1  2
1.573  58.7  8
1.436  65.0  36
1.243  76.6  11
1.172  82.3  4
1.112  87.8  16

Cell and atoms:
```
PmPuZnTc
1.0
7.0326 0.0000 0.0000
0.0000 7.0326 0.0000
0.0000 0.0000 7.0326
Pm Pu Zn Tc
4 4 4 4
Direct
0.0000 0.0000 0.0000
0.0000 0.5000 0.5000
0.5000 0.0000 0.5000
0.5000 0.5000 0.0000
0.0000 0.0000 0.5000
0.0000 0.5000 0.0000
0.5000 0.0000 0.0000
0.5000 0.5000 0.5000
0.2500 0.2500 0.2500
0.2500 0.7500 0.7500
0.7500 0.2500 0.7500
0.7500 0.7500 0.2500
0.2500 0.2500 0.7500
0.2500 0.7500 0.2500
0.7500 0.2500 0.2500
0.7500 0.7500 0.7500
```